HoThGaSi: theoretical powder XRD pattern (CuKα), based on DFT lattice parameters and positions (GGA-PBE).
No peak broadening, texture or thermal motion is included.

Top 6 peaks for 10 to 90 degrees two-theta, in order of falling intensity:
2θ (°), Rel. int.
31.37, 100.0
32.07, 49.7
27.58, 49.6
39.30, 34.6
32.86, 25.8
41.45, 22.5

Cell and atoms:
a = 4.019 Å, b = 4.357 Å, c = 10.903 Å
α = 90.00°, β = 90.00°, γ = 90.00°
Space group Amm2 (No. 38)
Inequivalent atoms, fractional coordinates:
Ho  0.000  0.000  0.000 (multiplicity 2)
Th  0.500  0.000  0.718 (multiplicity 2)
Ga  0.000  0.000  0.288 (multiplicity 2)
Si  0.500  0.000  0.437 (multiplicity 2)